# KU2SbSe8
Theoretical X-ray diffraction stick pattern, Cu Kα, 1.54184 Å. Input: a GGA-PBE-relaxed structure.

Top 10 peaks for 10 to 90 degrees two-theta, low angle first:
| 2θ/deg | d_spacing | I/Imax |
| --- | --- | --- |
| 11.52 | 7.681 | 100 |
| 19.58 | 4.535 | 34 |
| 28.16 | 3.169 | 83 |
| 32.44 | 2.760 | 24 |
| 33.98 | 2.638 | 30 |
| 36.77 | 2.444 | 30 |
| 39.53 | 2.280 | 41 |
| 40.24 | 2.241 | 26 |
| 43.03 | 2.102 | 26 |
| 44.95 | 2.017 | 18 |

Structural model:
a = 6.916 Å, b = 6.916 Å, c = 7.939 Å
α = 98.49°, β = 98.49°, γ = 108.65°
Fractional positions:
K  0.000  0.000  0.000
U  0.122  0.622  0.490
U  0.622  0.122  0.490
Sb  0.544  0.544  0.172
Se  0.047  0.302  0.691
Se  0.302  0.047  0.691
Se  0.310  0.804  0.227
Se  0.335  0.335  0.374
Se  0.543  0.800  0.695
Se  0.800  0.543  0.695
Se  0.804  0.310  0.227
Se  0.853  0.853  0.376